No. 1
Starting from a crystal structure in Alexandria, relaxed with PBE, the PXRD pattern of In6GaPb4 was simulated for λ = 1.5418 Å (Cu Kα).
Neutral-atom scattering factors, no anomalous dispersion.

Cell and atoms:
```
In6GaPb4
1.0
3.8623 -4.4690 0.0000
3.8623 4.4690 0.0000
-3.0790 0.0000 18.2636
In Ga Pb
12 2 8
direct
0.0000 0.0000 0.0000 In
0.0000 0.0000 0.5000 In
0.0998 0.5903 0.5819 In
0.1413 0.1967 0.6773 In
0.1967 0.1413 0.1773 In
0.2389 0.7611 0.7500 In
0.4097 0.9002 0.9181 In
0.5903 0.0998 0.0819 In
0.7611 0.2389 0.2500 In
0.8033 0.8587 0.8227 In
0.8587 0.8033 0.3227 In
0.9002 0.4097 0.4181 In
0.3371 0.6629 0.2500 Ga
0.6629 0.3371 0.7500 Ga
0.1787 0.3461 0.8555 Pb
0.2743 0.5477 0.0526 Pb
0.3461 0.1787 0.3555 Pb
0.4523 0.7257 0.4474 Pb
0.5477 0.2743 0.5526 Pb
0.6539 0.8213 0.6445 Pb
0.7257 0.4523 0.9474 Pb
0.8213 0.6539 0.1445 Pb
```

Peak list (12 most intense, 2θ from 15° to 90°, in order of rising 2θ)
| 2θ (°) | intensity |
| --- | --- |
| 30.61 | 710 |
| 31.17 | 610 |
| 31.42 | 580 |
| 31.64 | 692 |
| 32.31 | 758 |
| 33.03 | 1000 |
| 34.52 | 229 |
| 35.69 | 484 |
| 35.92 | 232 |
| 36.53 | 377 |
| 37.42 | 228 |
| 42.07 | 198 |

No. 2
Starting from a crystal structure in Alexandria, relaxed with PBE, the PXRD pattern of PmPaB12 was simulated for λ = 1.5418 Å (Cu Kα).
Neutral-atom scattering factors, no anomalous dispersion.

Cell and atoms:
```
PmPaB12
1.0
4.0942 0.0000 0.0000
0.0000 4.0942 0.0000
0.0000 0.0000 8.2057
Pm Pa B
1 1 12
direct
0.0000 0.0000 0.0000 Pm
0.0000 0.0000 0.5000 Pa
0.1979 0.5000 0.2517 B
0.1979 0.5000 0.7483 B
0.5000 0.1979 0.2517 B
0.5000 0.1979 0.7483 B
0.5000 0.5000 0.0999 B
0.5000 0.5000 0.4018 B
0.5000 0.5000 0.5982 B
0.5000 0.5000 0.9001 B
0.5000 0.8021 0.2517 B
0.5000 0.8021 0.7483 B
0.8021 0.5000 0.2517 B
0.8021 0.5000 0.7483 B
```

Peak list (12 most intense, 2θ from 15° to 90°, in order of rising 2θ)
| 2θ (°) | intensity |
| --- | --- |
| 21.69 | 755 |
| 30.87 | 1000 |
| 38.04 | 419 |
| 44.21 | 212 |
| 49.76 | 515 |
| 54.89 | 306 |
| 64.31 | 109 |
| 68.71 | 177 |
| 68.77 | 104 |
| 73.08 | 133 |
| 77.27 | 92 |
| 89.47 | 131 |

No. 3
Starting from a crystal structure in Alexandria, relaxed with PBE, the PXRD pattern of LiPm6Ir5 was simulated for λ = 1.5418 Å (Cu Kα).
Neutral-atom scattering factors, no anomalous dispersion.

Cell and atoms:
```
LiPm6Ir5
1.0
-2.4728 3.5914 7.5084
2.4728 -3.5914 7.5084
2.4728 3.5914 -7.5084
Li Pm Ir
1 6 5
direct
0.0000 0.0000 0.0000 Li
0.0848 0.8295 0.2553 Pm
0.2600 0.5000 0.7600 Pm
0.4258 0.1705 0.2553 Pm
0.5742 0.8295 0.7447 Pm
0.7400 0.5000 0.2400 Pm
0.9152 0.1705 0.7447 Pm
0.1584 0.6584 0.5000 Ir
0.3299 0.3299 0.0000 Ir
0.5000 0.0000 0.5000 Ir
0.6701 0.6701 0.0000 Ir
0.8416 0.3416 0.5000 Ir
```

Peak list (12 most intense, 2θ from 15° to 90°, in order of rising 2θ)
| 2θ (°) | intensity |
| --- | --- |
| 35.73 | 1000 |
| 35.88 | 243 |
| 36.33 | 242 |
| 50.85 | 92 |
| 51.99 | 170 |
| 63.79 | 90 |
| 64.09 | 92 |
| 64.39 | 172 |
| 64.97 | 177 |
| 75.69 | 111 |
| 85.72 | 82 |
| 87.51 | 77 |